# 1
TmZrAsO: calculated PXRD pattern (Cu Kα), based on the PBE geometry in OQMD.
Intensities are scaled so that the largest is 100.

The 10 most intense peaks (2θ = 15–90°), sorted by position:
23.73 deg, rel. 22.5; 24.55 deg, rel. 72.1; 30.32 deg, rel. 77.4; 35.47 deg, rel. 62.7; 36.89 deg, rel. 100.0; 40.24 deg, rel. 35.6; 42.22 deg, rel. 22.1; 43.66 deg, rel. 65.3; 57.49 deg, rel. 30.3; 60.90 deg, rel. 20.7

Atomic structure:
abc: 4.143 7.499 5.062
angles: 90.00 90.00 90.00
Atoms (fractional coordinates):
Tm 0.000 0.143 0.000
Tm 0.000 0.857 0.500
Zr 0.500 0.240 0.501
Zr 0.500 0.760 0.001
As 0.500 0.388 0.001
As 0.500 0.612 0.501
O 0.000 0.156 0.501
O 0.000 0.844 0.001



# 2
SiMo4PbC2: calculated PXRD pattern (Cu Kα), based on the PBE geometry in OQMD.
Intensities are scaled so that the largest is 100.

The 10 most intense peaks (2θ = 15–90°), sorted by position:
32.30 deg, rel. 34.1; 34.67 deg, rel. 15.6; 35.23 deg, rel. 32.3; 38.62 deg, rel. 100.0; 48.12 deg, rel. 12.9; 57.61 deg, rel. 24.4; 67.01 deg, rel. 16.3; 69.02 deg, rel. 12.8; 71.52 deg, rel. 16.2; 73.74 deg, rel. 11.2

Atomic structure:
abc: 3.200 3.200 12.935
angles: 90.00 90.00 120.00
Atoms (fractional coordinates):
Si 0.000 0.000 0.000
Mo 0.000 0.000 0.310
Mo 0.000 0.000 0.690
Mo 0.667 0.333 0.138
Mo 0.667 0.333 0.862
Pb 0.667 0.333 0.500
C 0.333 0.667 0.233
C 0.333 0.667 0.767



# 3
LaGd2Mg3Pt2Au: calculated PXRD pattern (Cu Kα), based on the PBE geometry in OQMD.
Intensities are scaled so that the largest is 100.

The 10 most intense peaks (2θ = 15–90°), sorted by position:
23.51 deg, rel. 50.8; 25.68 deg, rel. 27.9; 32.23 deg, rel. 55.5; 35.09 deg, rel. 100.0; 41.28 deg, rel. 23.7; 42.65 deg, rel. 20.9; 42.74 deg, rel. 14.5; 44.30 deg, rel. 21.0; 62.14 deg, rel. 14.3; 66.32 deg, rel. 17.0

Atomic structure:
abc: 4.090 7.557 7.557
angles: 119.74 90.00 90.00
Atoms (fractional coordinates):
La 0.000 0.000 0.000
Gd 0.000 0.421 0.836
Gd 0.000 0.836 0.421
Mg 0.500 0.173 0.425
Mg 0.500 0.425 0.173
Mg 0.500 0.664 0.664
Pt 0.500 0.089 0.751
Pt 0.500 0.751 0.089
Au 0.000 0.426 0.426



# 4
ErInNO: calculated PXRD pattern (Cu Kα), based on the PBE geometry in OQMD.
Intensities are scaled so that the largest is 100.

The 10 most intense peaks (2θ = 15–90°), sorted by position:
27.04 deg, rel. 18.9; 27.46 deg, rel. 35.7; 31.33 deg, rel. 100.0; 31.70 deg, rel. 99.2; 42.14 deg, rel. 19.8; 48.03 deg, rel. 28.9; 55.77 deg, rel. 15.1; 56.00 deg, rel. 25.3; 58.48 deg, rel. 28.4; 59.16 deg, rel. 32.6

Atomic structure:
abc: 3.731 6.595 5.710
angles: 90.00 90.00 90.00
Atoms (fractional coordinates):
Er 0.000 0.164 0.000
Er 0.000 0.836 0.500
In 0.500 0.335 0.483
In 0.500 0.665 0.983
N 0.000 0.159 0.393
N 0.000 0.841 0.893
O 0.500 0.282 0.874
O 0.500 0.718 0.374